# 1
Starting from the PBE+U geometry in the Materials Project, the X-ray diffraction stick pattern of FeO2 was simulated for Cu Kα.

The 10 most intense peaks (10 to 90 degrees two-theta), by angle:
18.84 deg, I = 100; 36.54 deg, I = 36; 38.22 deg, I = 10; 44.43 deg, I = 50; 48.66 deg, I = 11; 58.83 deg, I = 16; 64.64 deg, I = 26; 68.00 deg, I = 14; 81.81 deg, I = 8; 84.90 deg, I = 7

Structural model:
```
FeO2
1.0
0.000 4.078 4.078
4.078 0.000 4.078
4.078 4.078 0.000
Fe O
4 8
Direct
0.000 0.000 0.000
0.000 0.000 0.500
0.000 0.500 0.000
0.500 0.000 0.000
0.210 0.763 0.763
0.237 0.237 0.237
0.237 0.237 0.790
0.237 0.790 0.237
0.763 0.210 0.763
0.763 0.763 0.210
0.763 0.763 0.763
0.790 0.237 0.237
```


# 2
Starting from the PBE+U geometry in the Materials Project, the X-ray diffraction stick pattern of Mn4O7F was simulated for Cu Kα.

The 10 most intense peaks (10 to 90 degrees two-theta), by angle:
25.40 deg, I = 62; 26.00 deg, I = 55; 31.08 deg, I = 49; 31.36 deg, I = 47; 31.72 deg, I = 100; 36.17 deg, I = 23; 37.31 deg, I = 24; 55.10 deg, I = 25; 55.54 deg, I = 23; 56.83 deg, I = 38

Structural model:
```
Mn4O7F
1.0
5.498 0.000 0.000
-0.078 6.656 0.000
-0.132 -0.708 6.667
Mn O F
8 14 2
Direct
0.000 0.000 0.000
0.002 0.509 0.499
0.296 0.263 0.749
0.299 0.759 0.251
0.498 0.765 0.744
0.505 0.262 0.236
0.776 0.527 0.004
0.815 0.001 0.493
0.033 0.229 0.551
0.035 0.728 0.045
0.042 0.788 0.448
0.257 0.546 0.703
0.257 0.983 0.802
0.260 0.043 0.202
0.260 0.478 0.295
0.531 0.720 0.028
0.534 0.313 0.968
0.534 0.814 0.468
0.753 0.561 0.720
0.755 0.468 0.279
0.761 0.967 0.778
0.765 0.057 0.216
0.013 0.298 0.966
0.541 0.217 0.519
```


# 3
Starting from the PBE+U geometry in the Materials Project, the X-ray diffraction stick pattern of Fe3NiF6 was simulated for Cu Kα.

The 10 most intense peaks (10 to 90 degrees two-theta), by angle:
17.29 deg, I = 100; 20.42 deg, I = 66; 22.68 deg, I = 41; 23.84 deg, I = 27; 25.29 deg, I = 59; 35.02 deg, I = 59; 35.55 deg, I = 30; 39.05 deg, I = 45; 41.52 deg, I = 38; 48.79 deg, I = 27

Structural model:
```
Fe3NiF6
1.0
5.420 0.000 0.000
0.421 5.567 0.000
1.848 2.157 5.050
Fe Ni F
3 1 6
Direct
0.000 0.000 0.000
0.000 0.500 0.500
0.500 0.000 0.500
0.000 0.500 0.000
0.097 0.249 0.327
0.247 0.324 0.724
0.344 0.832 0.882
0.656 0.168 0.118
0.753 0.676 0.276
0.903 0.751 0.673
```